Diffraction record for SrMn2Si2O10. The X-ray diffraction stick pattern is computed, not measured: it uses a cell relaxed with GGA+U and copper Kα.

Main lines, sorted by position (2θ from 10° to 90°):
(1 1 0), 2θ 19.02, d 4.666, intensity 303
(1 0 -1), 2θ 19.65, d 4.517, intensity 315
(1 1 -1), 2θ 20.73, d 4.285, intensity 392
(1 2 -1), 2θ 23.68, d 3.757, intensity 362
(0 3 1), 2θ 26.12, d 3.412, intensity 220
(1 2 1), 2θ 31.95, d 2.801, intensity 1000
(1 0 -2), 2θ 32.41, d 2.763, intensity 237
(1 4 -1), 2θ 33.09, d 2.707, intensity 728
(0 2 2), 2θ 36.93, d 2.434, intensity 317
(1 6 1), 2θ 50.14, d 1.820, intensity 238

Crystal structure
```
30
Lattice="5.3408 0.0000 0.0000 0.0000 13.5297 0.0000 -2.0491 0.0000 5.2177" Properties=species:S:1:pos:R:3 pbc="T T T"
Sr 0.2302 3.3824 1.6296
Sr 3.0616 10.1473 3.5882
Mn 0.0000 0.0000 0.0000
Mn 0.0000 6.7649 0.0000
Mn 1.6459 0.0000 2.6089
Mn 1.6459 6.7649 2.6089
Si 2.5166 8.5701 0.2248
Si 2.5166 11.7244 0.2248
Si 0.7752 1.8053 4.9930
Si 0.7752 4.9596 4.9930
O -0.3201 10.1473 1.7572
O 0.0103 7.3536 1.8180
O 0.0103 12.9409 1.8180
O -0.9760 8.2834 4.7211
O -0.9760 12.0111 4.7211
O 1.6083 0.9839 0.5387
O 1.6083 5.7809 0.5387
O 0.8187 1.6368 3.3772
O 0.8187 5.1280 3.3772
O 2.4616 3.3824 0.1897
O 0.8302 10.1473 5.0280
O 2.4730 8.4017 1.8406
O 2.4730 11.8929 1.8406
O 1.6834 7.7488 4.6790
O 1.6834 12.5458 4.6790
O 4.2677 1.5186 0.4966
O 4.2677 5.2463 0.4966
O 3.2814 0.5888 3.3998
O 3.2814 6.1761 3.3998
O 3.6118 3.3824 3.4605
```